Calculated powder diffractogram of PmBeNiO4 for Cu Kα X-rays, from the GGA+U geometry in Alexandria.
No peak broadening, texture or thermal motion is included.

Structure:
Cell lengths 5.099, 5.099, 6.783 Å; angles 90.00, 90.00, 90.00 degrees
Space group I-4 (No. 82)
Unique sites:
Pm: 0.000 0.000 0.000 [2 per cell]
Be: 0.000 0.500 0.250 [2 per cell]
Ni: 0.000 0.000 0.500 [2 per cell]
O: 0.164 0.740 0.355 [8 per cell]

Principal peaks in the range 10° ≤ 2θ ≤ 90°, in order of falling intensity:
24.69 deg, I = 100
36.37 deg, I = 90
44.46 deg, I = 47
26.28 deg, I = 37
21.81 deg, I = 36
63.93 deg, I = 31
35.20 deg, I = 28
41.79 deg, I = 22
57.12 deg, I = 21
50.64 deg, I = 20


Calculated powder diffractogram of PuBeNiO4 for Cu Kα X-rays, from the GGA+U geometry in Alexandria.
No peak broadening, texture or thermal motion is included.

Structure:
Cell lengths 5.293, 8.461, 6.625 Å; angles 90.00, 90.00, 90.00 degrees
Space group Cmcm (No. 63)
Unique sites:
Pu: 0.000 0.206 0.250 [4 per cell]
Be: 0.000 0.141 0.750 [4 per cell]
Ni: 0.000 0.500 0.000 [4 per cell]
O: 0.000 0.260 0.559 [8 per cell]
O: 0.250 0.031 0.750 [8 per cell]

Principal peaks in the range 10° ≤ 2θ ≤ 90°, in order of falling intensity:
23.95 deg, I = 100
45.79 deg, I = 27
49.04 deg, I = 26
36.08 deg, I = 24
33.87 deg, I = 23
34.38 deg, I = 21
33.63 deg, I = 19
38.64 deg, I = 15
26.91 deg, I = 15
21.00 deg, I = 15


Calculated powder diffractogram of Pu2BeNiO8 for Cu Kα X-rays, from the GGA+U geometry in Alexandria.
No peak broadening, texture or thermal motion is included.

Structure:
Cell lengths 6.234, 6.495, 6.898 Å; angles 90.00, 90.00, 90.00 degrees
Space group Cmmm (No. 65)
Unique sites:
Pu: 0.000 0.000 0.246 [4 per cell]
Be: 0.000 0.500 0.000 [2 per cell]
Ni: 0.000 0.500 0.500 [2 per cell]
O: 0.000 0.295 0.247 [8 per cell]
O: 0.196 0.000 0.500 [4 per cell]
O: 0.232 0.000 0.000 [4 per cell]

Principal peaks in the range 10° ≤ 2θ ≤ 90°, in order of falling intensity:
19.74 deg, I = 100
32.72 deg, I = 99
27.46 deg, I = 46
28.64 deg, I = 41
51.98 deg, I = 35
38.95 deg, I = 33
53.37 deg, I = 31
25.83 deg, I = 27
48.32 deg, I = 22
40.10 deg, I = 21


Calculated powder diffractogram of PuBeNi2O6 for Cu Kα X-rays, from the GGA+U geometry in Alexandria.
No peak broadening, texture or thermal motion is included.

Structure:
Cell lengths 5.358, 5.358, 4.254 Å; angles 90.00, 90.00, 90.00 degrees
Space group P4mm (No. 99)
Unique sites:
Pu: 0.000 0.000 0.000 [1 per cell]
Be: 0.500 0.500 0.918 [1 per cell]
Ni: 0.000 0.500 0.271 [2 per cell]
O: 0.000 0.000 0.511 [1 per cell]
O: 0.265 0.265 0.064 [4 per cell]
O: 0.500 0.500 0.561 [1 per cell]

Principal peaks in the range 10° ≤ 2θ ≤ 90°, in order of falling intensity:
16.55 deg, I = 100
26.76 deg, I = 66
31.63 deg, I = 63
20.88 deg, I = 54
33.45 deg, I = 45
43.34 deg, I = 42
49.13 deg, I = 40
37.54 deg, I = 31
48.03 deg, I = 30
71.15 deg, I = 26


Calculated powder diffractogram of Yb2Be2Si2NiO10 for Cu Kα X-rays, from the GGA+U geometry in Alexandria.
No peak broadening, texture or thermal motion is included.

Structure:
Cell lengths 4.722, 7.599, 10.018 Å; angles 90.00, 90.15, 90.00 degrees
Space group P2_1/c (No. 14)
Unique sites:
Yb: 0.003 0.106 0.170 [4 per cell]
Be: 0.455 0.087 0.658 [4 per cell]
Si: 0.482 0.723 0.580 [4 per cell]
Ni: 0.000 0.000 0.500 [2 per cell]
O: 0.207 0.585 0.840 [4 per cell]
O: 0.247 0.583 0.528 [4 per cell]
O: 0.295 0.606 0.135 [4 per cell]
O: 0.306 0.205 0.539 [4 per cell]
O: 0.315 0.159 0.796 [4 per cell]

Principal peaks in the range 10° ≤ 2θ ≤ 90°, in order of falling intensity:
31.51 deg, I = 100
34.97 deg, I = 90
18.79 deg, I = 86
28.51 deg, I = 74
25.07 deg, I = 49
29.21 deg, I = 45
46.17 deg, I = 33
30.19 deg, I = 27
48.80 deg, I = 26
39.88 deg, I = 24


Calculated powder diffractogram of Sr3Be2NiO6 for Cu Kα X-rays, from the GGA+U geometry in Alexandria.
No peak broadening, texture or thermal motion is included.

Structure:
Cell lengths 5.5126, 5.5126, 6.3473 Å; angles 90.00, 90.00, 120.00 degrees
Space group P-3m1 (No. 164)
Unique sites:
Sr: 0.0000 0.0000 0.0000 [1 per cell]
Sr: 0.3333 0.6667 0.6695 [2 per cell]
Be: 0.3333 0.6667 0.2602 [2 per cell]
Ni: 0.0000 0.0000 0.5000 [1 per cell]
O: 0.1744 0.3487 0.2899 [6 per cell]

Principal peaks in the range 10° ≤ 2θ ≤ 90°, in order of falling intensity:
32.48 deg, I = 100
33.92 deg, I = 95
47.67 deg, I = 61
23.31 deg, I = 56
40.37 deg, I = 54
58.87 deg, I = 36
13.95 deg, I = 23
18.59 deg, I = 21
68.03 deg, I = 20
57.95 deg, I = 19


Calculated powder diffractogram of UBeNi2O6 for Cu Kα X-rays, from the GGA+U geometry in Alexandria.
No peak broadening, texture or thermal motion is included.

Structure:
Cell lengths 5.332, 5.332, 4.375 Å; angles 90.00, 90.00, 90.00 degrees
Space group P4mm (No. 99)
Unique sites:
U: 0.000 0.000 0.000 [1 per cell]
Be: 0.500 0.500 0.945 [1 per cell]
Ni: 0.000 0.500 0.304 [2 per cell]
O: 0.000 0.000 0.524 [1 per cell]
O: 0.267 0.267 0.091 [4 per cell]
O: 0.500 0.500 0.595 [1 per cell]

Principal peaks in the range 10° ≤ 2θ ≤ 90°, in order of falling intensity:
16.63 deg, I = 100
31.32 deg, I = 80
26.35 deg, I = 69
20.30 deg, I = 51
33.62 deg, I = 46
43.21 deg, I = 43
48.09 deg, I = 41
37.73 deg, I = 32
48.28 deg, I = 31
58.68 deg, I = 27


Which formula does entry 5 have? Yb2Be2Si2NiO10